This entry pairs a crystal structure of YIn2Cl5 with its calculated powder X-ray diffraction pattern. Radiation: copper Kα. Structure: DFT lattice parameters and positions (GGA-PBE).
Peak positions follow from Bragg's law for the DFT cell and can differ from measured ones.

Peak list (10 most intense, 2θ = 10–80°, by angle)
two_theta	I (rel.)
21.7	42
23.3	62
24.4	45
29.9	40
30.4	100
31.6	51
34.2	28
35.2	29
42.6	43
42.7	28

Structure:
Cell: 12.741 8.479 8.634 Å, 90.00 90.00 90.00°
Positions (direct):
Y (0.006, 0.250, 0.075)
Y (0.494, 0.750, 0.575)
Y (0.506, 0.250, 0.425)
Y (0.994, 0.750, 0.925)
In (0.167, 0.014, 0.600)
In (0.167, 0.486, 0.600)
In (0.333, 0.514, 0.100)
In (0.333, 0.986, 0.100)
In (0.667, 0.014, 0.900)
In (0.667, 0.486, 0.900)
In (0.833, 0.514, 0.400)
In (0.833, 0.986, 0.400)
Cl (0.003, 0.250, 0.397)
Cl (0.056, 0.551, 0.164)
Cl (0.056, 0.949, 0.164)
Cl (0.196, 0.250, 0.942)
Cl (0.199, 0.750, 0.861)
Cl (0.301, 0.250, 0.361)
Cl (0.304, 0.750, 0.442)
Cl (0.444, 0.051, 0.664)
Cl (0.444, 0.449, 0.664)
Cl (0.497, 0.750, 0.897)
Cl (0.503, 0.250, 0.103)
Cl (0.556, 0.551, 0.336)
Cl (0.556, 0.949, 0.336)
Cl (0.696, 0.250, 0.558)
Cl (0.699, 0.750, 0.639)
Cl (0.801, 0.250, 0.139)
Cl (0.804, 0.750, 0.058)
Cl (0.944, 0.051, 0.836)
Cl (0.944, 0.449, 0.836)
Cl (0.997, 0.750, 0.603)

This entry pairs a crystal structure of LiCrInIr with its calculated powder X-ray diffraction pattern. Radiation: copper Kα. Structure: DFT lattice parameters and positions (GGA-PBE).
Peak positions follow from Bragg's law for the DFT cell and can differ from measured ones.

Peak list (6 most intense, 2θ = 10–80°, by angle)
two_theta	I (rel.)
24.9	71
41.2	100
48.7	36
59.7	16
65.7	15
75.1	33

Structure:
Cell: 4.382 4.382 4.382 Å, 60.00 60.00 60.00°
Positions (direct):
Li (0.000, 0.000, 0.000)
Cr (0.750, 0.750, 0.750)
In (0.250, 0.250, 0.250)
Ir (0.500, 0.500, 0.500)

This entry pairs a crystal structure of Tb4Sm4Ho with its calculated powder X-ray diffraction pattern. Radiation: copper Kα. Structure: DFT lattice parameters and positions (GGA-PBE).
Peak positions follow from Bragg's law for the DFT cell and can differ from measured ones.

Peak list (6 most intense, 2θ = 10–80°, by angle)
two_theta	I (rel.)
30.5	100
35.4	51
50.9	36
60.6	43
63.6	12
74.9	6

Structure:
Cell: 8.020 8.020 8.020 Å, 95.73 95.73 143.17°
Positions (direct):
Tb (0.166, 0.166, 0.332)
Tb (0.166, 0.834, 0.000)
Tb (0.834, 0.166, 0.000)
Tb (0.834, 0.834, 0.668)
Sm (0.168, 0.500, 0.668)
Sm (0.500, 0.168, 0.668)
Sm (0.500, 0.832, 0.332)
Sm (0.832, 0.500, 0.332)
Ho (0.500, 0.500, 0.000)

This entry pairs a crystal structure of Ba3Ca2 with its calculated powder X-ray diffraction pattern. Radiation: copper Kα. Structure: DFT lattice parameters and positions (GGA-PBE).
Peak positions follow from Bragg's law for the DFT cell and can differ from measured ones.

Peak list (10 most intense, 2θ = 10–80°, by angle)
two_theta	I (rel.)
18.1	18
24.2	23
25.7	27
27.5	100
35.6	17
42.6	19
46.4	23
50.4	24
51.5	16
69.0	10

Structure:
Cell: 11.232 11.232 6.935 Å, 90.00 90.00 38.13°
Positions (direct):
Ba (0.020, 0.373, 0.250)
Ba (0.169, 0.831, 0.750)
Ba (0.373, 0.020, 0.750)
Ba (0.627, 0.980, 0.250)
Ba (0.831, 0.169, 0.250)
Ba (0.980, 0.627, 0.750)
Ca (0.240, 0.565, 0.250)
Ca (0.435, 0.760, 0.250)
Ca (0.565, 0.240, 0.750)
Ca (0.760, 0.435, 0.750)

This entry pairs a crystal structure of Dy4ErBi with its calculated powder X-ray diffraction pattern. Radiation: copper Kα. Structure: DFT lattice parameters and positions (GGA-PBE).
Peak positions follow from Bragg's law for the DFT cell and can differ from measured ones.

Peak list (10 most intense, 2θ = 10–80°, by angle)
two_theta	I (rel.)
20.6	45
33.5	100
34.6	47
38.8	9
40.5	16
46.6	10
49.7	17
59.3	19
61.3	36
70.5	12

Structure:
Cell: 5.191 5.191 7.788 Å, 90.00 90.00 90.00°
Positions (direct):
Dy (0.000, 0.500, 0.243)
Dy (0.000, 0.500, 0.757)
Dy (0.500, 0.000, 0.243)
Dy (0.500, 0.000, 0.757)
Er (0.000, 0.000, 0.000)
Bi (0.500, 0.500, 0.500)

This entry pairs a crystal structure of CsSmHo4S8 with its calculated powder X-ray diffraction pattern. Radiation: copper Kα. Structure: DFT lattice parameters and positions (GGA-PBE).
Peak positions follow from Bragg's law for the DFT cell and can differ from measured ones.

Peak list (10 most intense, 2θ = 10–80°, by angle)
two_theta	I (rel.)
21.1	29
24.8	45
25.1	100
25.2	51
30.3	41
39.4	26
39.7	36
39.9	31
43.0	57
43.8	56

Structure:
Cell: 8.417 8.417 8.417 Å, 58.88 58.88 58.88°
Positions (direct):
Cs (0.000, 0.000, 0.000)
Sm (0.363, 0.363, 0.363)
Ho (0.365, 0.365, 0.882)
Ho (0.365, 0.882, 0.365)
Ho (0.743, 0.743, 0.743)
Ho (0.882, 0.365, 0.365)
S (0.135, 0.135, 0.557)
S (0.135, 0.557, 0.135)
S (0.137, 0.614, 0.614)
S (0.143, 0.143, 0.143)
S (0.557, 0.135, 0.135)
S (0.613, 0.613, 0.613)
S (0.614, 0.137, 0.614)
S (0.614, 0.614, 0.137)